This entry pairs a crystal structure of NaAlGe with its calculated powder X-ray diffraction pattern. Radiation: a wavelength of 1.5418 Å. Structure: a crystal structure in the Materials Project, relaxed with GGA-PBE.

Largest 12 diffraction maxima, in order of rising 2θ, 10° ≤ 2θ ≤ 80°:
d/Å	I/Imax
7.470	40
3.640	100
2.947	51
2.782	53
2.314	97
2.138	40
2.084	57
1.809	28
1.668	21
1.493	31
1.319	21
1.243	25

Structural model:
Cell lengths 4.168, 4.168, 7.470 Å; angles 90.00, 90.00, 90.00 degrees
Positions (direct):
1 Na 0.250 0.250 0.139
2 Na 0.750 0.750 0.861
3 Al 0.250 0.750 0.500
4 Al 0.750 0.250 0.500
5 Ge 0.250 0.250 0.715
6 Ge 0.750 0.750 0.285


This entry pairs a crystal structure of Na2Al2Ge3O12 with its calculated powder X-ray diffraction pattern. Radiation: a wavelength of 1.5418 Å. Structure: a crystal structure in the Materials Project, relaxed with GGA-PBE.

Largest 12 diffraction maxima, in order of rising 2θ, 10° ≤ 2θ ≤ 80°:
d/Å	I/Imax
6.638	74
6.198	51
4.688	41
4.531	92
4.195	25
3.283	35
3.262	58
3.099	26
2.926	100
2.691	24
2.482	36
2.264	24

Structural model:
Cell lengths 10.032, 10.007, 13.275 Å; angles 48.60, 48.43, 82.97 degrees
Positions (direct):
1 Na 0.249 0.751 0.311
2 Na 0.561 0.939 0.499
3 Na 0.751 0.249 0.689
4 Na 0.939 0.561 0.001
5 Al 0.368 0.631 0.564
6 Al 0.631 0.368 0.438
7 Al 0.686 0.812 0.882
8 Al 0.812 0.686 0.619
9 Ge 0.123 0.123 0.877
10 Ge 0.127 0.862 0.569
11 Ge 0.373 0.373 0.127
12 Ge 0.681 0.808 0.123
13 Ge 0.808 0.681 0.388
14 Ge 0.862 0.127 0.442
15 O 0.044 0.764 0.536
16 O 0.051 0.920 0.106
17 O 0.122 0.395 0.485
18 O 0.144 0.327 0.199
19 O 0.170 0.351 0.802
20 O 0.251 0.752 0.624
21 O 0.253 0.765 0.855
22 O 0.327 0.144 0.330
23 O 0.351 0.170 0.677
24 O 0.395 0.122 0.997
25 O 0.448 0.573 0.080
26 O 0.455 0.735 0.346
27 O 0.573 0.448 0.899
28 O 0.595 0.714 0.486
29 O 0.626 0.877 0.999
30 O 0.714 0.595 0.206
31 O 0.735 0.455 0.465
32 O 0.752 0.251 0.373
33 O 0.764 0.044 0.655
34 O 0.765 0.253 0.128
35 O 0.785 0.904 0.515
36 O 0.877 0.626 0.498
37 O 0.904 0.785 0.795
38 O 0.920 0.051 0.923


This entry pairs a crystal structure of Na4Al3Ge3O13 with its calculated powder X-ray diffraction pattern. Radiation: a wavelength of 1.5418 Å. Structure: a crystal structure in the Materials Project, relaxed with GGA-PBE.

Largest 12 diffraction maxima, in order of rising 2θ, 10° ≤ 2θ ≤ 80°:
d/Å	I/Imax
6.438	100
4.080	23
4.061	22
3.734	29
3.710	74
2.884	15
2.874	20
2.643	16
2.623	39
2.431	17
1.614	14
1.604	17

Structural model:
Cell lengths 9.103, 9.103, 9.103 Å; angles 89.66, 89.66, 89.66 degrees
Positions (direct):
1 Na 0.000 0.000 0.000
2 Na 0.031 0.348 0.348
3 Na 0.348 0.031 0.348
4 Na 0.348 0.348 0.031
5 Na 0.500 0.500 0.500
6 Na 0.531 0.848 0.848
7 Na 0.848 0.531 0.848
8 Na 0.848 0.848 0.531
9 Al 0.181 0.433 0.685
10 Al 0.185 0.933 0.681
11 Al 0.433 0.685 0.181
12 Al 0.681 0.185 0.933
13 Al 0.685 0.181 0.433
14 Al 0.933 0.681 0.185
15 Ge 0.181 0.685 0.433
16 Ge 0.185 0.681 0.933
17 Ge 0.433 0.181 0.685
18 Ge 0.681 0.933 0.185
19 Ge 0.685 0.433 0.181
20 Ge 0.933 0.185 0.681
21 O 0.039 0.328 0.607
22 O 0.039 0.607 0.329
23 O 0.042 0.042 0.758
24 O 0.042 0.758 0.042
25 O 0.107 0.539 0.829
26 O 0.107 0.828 0.539
27 O 0.229 0.229 0.229
28 O 0.258 0.542 0.542
29 O 0.260 0.824 0.825
30 O 0.324 0.760 0.325
31 O 0.325 0.324 0.760
32 O 0.328 0.607 0.039
33 O 0.329 0.039 0.607
34 O 0.539 0.107 0.828
35 O 0.539 0.829 0.107
36 O 0.542 0.258 0.542
37 O 0.542 0.542 0.258
38 O 0.607 0.039 0.328
39 O 0.607 0.329 0.039
40 O 0.729 0.729 0.729
41 O 0.758 0.042 0.042
42 O 0.760 0.325 0.324
43 O 0.824 0.825 0.260
44 O 0.825 0.260 0.824
45 O 0.828 0.539 0.107
46 O 0.829 0.107 0.539


This entry pairs a crystal structure of Na2AlGeP3O12 with its calculated powder X-ray diffraction pattern. Radiation: a wavelength of 1.5418 Å. Structure: a crystal structure in the Materials Project, relaxed with GGA-PBE.

Largest 12 diffraction maxima, in order of rising 2θ, 10° ≤ 2θ ≤ 80°:
d/Å	I/Imax
6.093	44
6.050	34
4.347	70
4.241	37
4.213	27
3.654	100
3.636	46
3.025	44
2.752	23
2.744	96
2.736	50
2.438	32

Structural model:
Cell lengths 8.483, 8.483, 8.698 Å; angles 119.17, 119.17, 59.55 degrees
Positions (direct):
1 Na 0.113 0.887 0.500
2 Na 0.499 0.998 0.748
3 Na 0.887 0.113 0.000
4 Na 0.998 0.499 0.248
5 Al 0.358 0.853 0.312
6 Al 0.853 0.358 0.812
7 Ge 0.149 0.642 0.694
8 Ge 0.642 0.149 0.194
9 P 0.038 0.253 0.503
10 P 0.253 0.038 0.003
11 P 0.465 0.537 0.505
12 P 0.537 0.465 0.005
13 P 0.745 0.965 0.506
14 P 0.965 0.745 0.006
15 O 0.007 0.268 0.669
16 O 0.061 0.432 0.521
17 O 0.072 0.219 0.978
18 O 0.136 0.777 0.180
19 O 0.219 0.072 0.478
20 O 0.229 0.862 0.821
21 O 0.268 0.007 0.169
22 O 0.274 0.567 0.520
23 O 0.360 0.481 0.826
24 O 0.430 0.722 0.480
25 O 0.432 0.061 0.021
26 O 0.481 0.360 0.326
27 O 0.507 0.639 0.174
28 O 0.567 0.274 0.020
29 O 0.570 0.936 0.479
30 O 0.639 0.507 0.674
31 O 0.722 0.430 0.980
32 O 0.739 0.984 0.332
33 O 0.777 0.136 0.680
34 O 0.777 0.930 0.022
35 O 0.862 0.229 0.321
36 O 0.930 0.777 0.522
37 O 0.936 0.570 0.979
38 O 0.984 0.739 0.832